[1]
For Pr2Ho2CIBr2Cl2, a cell relaxed with GGA-PBE gives the simulated X-ray diffraction stick pattern in this record (a wavelength of 1.5418 Å).

Structure:
Lattice parameters (Å, degrees): 9.1705 9.1705 8.9204 102.72 102.72 24.74
Sites, in units of the cell vectors:
Pr  0.0000  0.0000  0.1970
Pr  0.0000  0.0000  0.8030
Ho  0.3628  0.3628  0.9322
Ho  0.6372  0.6372  0.0678
C  0.5000  0.5000  0.0000
I  0.5000  0.5000  0.5000
Br  0.1744  0.1744  0.8560
Br  0.8256  0.8256  0.1440
Cl  0.1652  0.1652  0.2834
Cl  0.8348  0.8348  0.7166

Most intense lines, 10 to 90 degrees two-theta, sorted by position:
2θ (°), Rel. int.
10.17, 100
30.32, 70
30.51, 15
30.73, 26
34.17, 18
38.00, 16
38.60, 11
43.35, 15
44.08, 16
46.21, 13
56.54, 11
61.73, 12

***

[2]
For Pr2Ho2CI2Br2Cl, a cell relaxed with GGA-PBE gives the simulated X-ray diffraction stick pattern in this record (a wavelength of 1.5418 Å).

Structure:
Lattice parameters (Å, degrees): 9.7133 9.7133 8.2484 102.09 102.09 23.44
Sites, in units of the cell vectors:
Pr  0.9998  0.9998  0.2146
Pr  0.0002  0.0002  0.7854
Ho  0.3710  0.3710  0.9318
Ho  0.6290  0.6290  0.0682
C  0.5000  0.5000  0.0000
I  0.1732  0.1732  0.8220
I  0.8268  0.8268  0.1780
Br  0.1622  0.1622  0.3251
Br  0.8378  0.8378  0.6749
Cl  0.5000  0.5000  0.5000

Most intense lines, 10 to 90 degrees two-theta, sorted by position:
2θ (°), Rel. int.
10.98, 72
25.14, 12
28.83, 36
31.37, 100
32.44, 34
33.12, 40
33.25, 16
43.12, 43
43.91, 16
46.00, 18
57.41, 14
65.45, 14

***

[3]
For Pr2Ho2CIBr2Cl2, a cell relaxed with GGA-PBE gives the simulated X-ray diffraction stick pattern in this record (a wavelength of 1.5418 Å).

Structure:
Lattice parameters (Å, degrees): 9.2033 9.2033 8.4601 104.06 104.06 24.30
Sites, in units of the cell vectors:
Pr  0.1451  0.1451  0.0802
Pr  0.8549  0.8549  0.9198
Ho  0.4994  0.4994  0.8080
Ho  0.5006  0.5006  0.1920
C  0.0000  0.0000  0.0000
I  0.0000  0.0000  0.5000
Br  0.3347  0.3347  0.1806
Br  0.6653  0.6653  0.8194
Cl  0.3451  0.3451  0.6682
Cl  0.6549  0.6549  0.3318

Most intense lines, 10 to 90 degrees two-theta, sorted by position:
2θ (°), Rel. int.
10.15, 68
10.80, 60
28.32, 24
30.78, 51
31.19, 27
31.31, 100
34.31, 25
36.85, 18
44.26, 28
44.70, 31
46.91, 20
57.16, 17

***

[4]
For Pr2Ho2CI2Br2Cl, a cell relaxed with GGA-PBE gives the simulated X-ray diffraction stick pattern in this record (a wavelength of 1.5418 Å).

Structure:
Lattice parameters (Å, degrees): 9.4180 9.4180 8.2592 101.66 101.66 23.80
Sites, in units of the cell vectors:
Pr  0.1405  0.1405  0.0668
Pr  0.8595  0.8595  0.9332
Ho  0.4980  0.4980  0.2006
Ho  0.5020  0.5020  0.7994
C  0.0000  0.0000  0.0000
I  0.3380  0.3380  0.6311
I  0.6620  0.6620  0.3689
Br  0.3365  0.3365  0.1951
Br  0.6635  0.6635  0.8049
Cl  0.0000  0.0000  0.5000

Most intense lines, 10 to 90 degrees two-theta, sorted by position:
2θ (°), Rel. int.
10.95, 29
23.43, 22
28.33, 23
29.72, 55
30.68, 32
31.63, 100
33.92, 26
35.10, 19
36.74, 23
43.67, 29
44.24, 31
46.78, 20

***

[5]
For Pr2Ho2CI2Br2Cl, a cell relaxed with GGA-PBE gives the simulated X-ray diffraction stick pattern in this record (a wavelength of 1.5418 Å).

Structure:
Lattice parameters (Å, degrees): 9.5682 9.5682 8.2338 102.13 102.13 23.33
Sites, in units of the cell vectors:
Pr  0.1393  0.1393  0.0750
Pr  0.8607  0.8607  0.9250
Ho  0.4990  0.4990  0.2015
Ho  0.5010  0.5010  0.7985
C  0.0000  0.0000  0.0000
I  0.3322  0.3322  0.2096
I  0.6678  0.6678  0.7904
Br  0.3485  0.3485  0.6468
Br  0.6515  0.6515  0.3532
Cl  0.0000  0.0000  0.5000

Most intense lines, 10 to 90 degrees two-theta, sorted by position:
2θ (°), Rel. int.
11.00, 52
23.50, 22
28.27, 18
29.27, 54
30.69, 19
31.74, 100
33.70, 24
34.98, 18
36.91, 20
43.63, 32
43.80, 25
46.96, 20

***

[6]
For Ho2Sc2CI2Br2Cl, a cell relaxed with GGA-PBE gives the simulated X-ray diffraction stick pattern in this record (a wavelength of 1.5418 Å).

Structure:
Lattice parameters (Å, degrees): 10.1187 10.1187 7.8195 101.09 101.09 21.25
Sites, in units of the cell vectors:
Ho  0.9997  0.9997  0.2091
Ho  0.0003  0.0003  0.7909
Sc  0.3856  0.3856  0.9374
Sc  0.6144  0.6144  0.0626
C  0.5000  0.5000  0.0000
I  0.1583  0.1583  0.8211
I  0.8417  0.8417  0.1789
Br  0.1473  0.1473  0.3205
Br  0.8527  0.8527  0.6795
Cl  0.5000  0.5000  0.5000

Most intense lines, 10 to 90 degrees two-theta, sorted by position:
2θ (°), Rel. int.
11.54, 24
23.20, 46
24.29, 50
27.43, 51
32.42, 17
33.20, 100
39.72, 23
40.40, 32
43.58, 46
48.81, 15
50.43, 14
67.24, 17

***

[7]
For Ho2Sc2CI2Br2Cl, a cell relaxed with GGA-PBE gives the simulated X-ray diffraction stick pattern in this record (a wavelength of 1.5418 Å).

Structure:
Lattice parameters (Å, degrees): 9.3597 9.3597 7.8345 100.81 100.81 23.10
Sites, in units of the cell vectors:
Ho  0.1297  0.1297  0.0695
Ho  0.8703  0.8703  0.9305
Sc  0.4980  0.4980  0.1928
Sc  0.5020  0.5020  0.8072
C  0.0000  0.0000  0.0000
I  0.3316  0.3316  0.1999
I  0.6684  0.6684  0.8001
Br  0.3514  0.3514  0.6592
Br  0.6486  0.6486  0.3408
Cl  0.0000  0.0000  0.5000

Most intense lines, 10 to 90 degrees two-theta, sorted by position:
2θ (°), Rel. int.
11.51, 74
19.73, 49
24.76, 20
26.51, 33
29.78, 35
31.53, 18
33.08, 100
34.55, 17
34.92, 25
38.54, 26
44.73, 20
48.59, 18

***

[8]
For Ho2Sc2CIBr2Cl2, a cell relaxed with GGA-PBE gives the simulated X-ray diffraction stick pattern in this record (a wavelength of 1.5418 Å).

Structure:
Lattice parameters (Å, degrees): 8.9533 8.9533 8.4389 101.77 101.77 23.93
Sites, in units of the cell vectors:
Ho  0.0010  0.0010  0.3087
Ho  0.9990  0.9990  0.6913
Sc  0.3696  0.3696  0.4357
Sc  0.6304  0.6304  0.5643
C  0.5000  0.5000  0.5000
I  0.5000  0.5000  0.0000
Br  0.1698  0.1698  0.3528
Br  0.8302  0.8302  0.6472
Cl  0.1574  0.1574  0.7839
Cl  0.8426  0.8426  0.2161

Most intense lines, 10 to 90 degrees two-theta, sorted by position:
2θ (°), Rel. int.
10.33, 100
10.72, 26
20.74, 11
24.54, 15
27.29, 17
31.33, 34
32.11, 68
32.55, 14
35.66, 26
44.96, 17
46.00, 18
49.09, 11

***

[9]
For Sm2Ho2CIBr2Cl2, a cell relaxed with GGA-PBE gives the simulated X-ray diffraction stick pattern in this record (a wavelength of 1.5418 Å).

Structure:
Lattice parameters (Å, degrees): 8.8543 8.8543 8.7032 103.78 103.78 25.40
Sites, in units of the cell vectors:
Sm  0.0013  0.0013  0.3067
Sm  0.9987  0.9987  0.6933
Ho  0.3574  0.3574  0.4279
Ho  0.6426  0.6426  0.5721
C  0.5000  0.5000  0.5000
I  0.5000  0.5000  0.0000
Br  0.1746  0.1746  0.8169
Br  0.8254  0.8254  0.1831
Cl  0.1731  0.1731  0.3709
Cl  0.8269  0.8269  0.6291

Most intense lines, 10 to 90 degrees two-theta, sorted by position:
2θ (°), Rel. int.
10.51, 89
16.63, 20
21.26, 28
28.46, 25
30.81, 100
31.30, 39
32.06, 40
36.08, 18
38.80, 17
44.94, 25
45.19, 25
46.65, 18

***

[10]
For Sm2Ho2CI2Br2Cl, a cell relaxed with GGA-PBE gives the simulated X-ray diffraction stick pattern in this record (a wavelength of 1.5418 Å).

Structure:
Lattice parameters (Å, degrees): 9.6071 9.6071 8.0994 101.68 101.68 23.36
Sites, in units of the cell vectors:
Sm  0.0008  0.0008  0.2887
Sm  0.9992  0.9992  0.7113
Ho  0.3701  0.3701  0.4308
Ho  0.6299  0.6299  0.5692
C  0.5000  0.5000  0.5000
I  0.1725  0.1725  0.3145
I  0.8275  0.8275  0.6855
Br  0.1592  0.1592  0.8318
Br  0.8408  0.8408  0.1682
Cl  0.5000  0.5000  0.0000

Most intense lines, 10 to 90 degrees two-theta, sorted by position:
2θ (°), Rel. int.
11.17, 68
25.53, 13
29.10, 38
31.90, 100
33.02, 19
33.50, 40
33.73, 16
43.59, 24
43.86, 20
44.76, 15
46.71, 19
66.72, 13

***

[11]
For Sm2Ho2CIBr2Cl2, a cell relaxed with GGA-PBE gives the simulated X-ray diffraction stick pattern in this record (a wavelength of 1.5418 Å).

Structure:
Lattice parameters (Å, degrees): 9.0807 9.0807 8.6850 103.34 103.34 24.62
Sites, in units of the cell vectors:
Sm  0.0004  0.0004  0.1949
Sm  0.9996  0.9996  0.8051
Ho  0.3618  0.3618  0.9291
Ho  0.6382  0.6382  0.0709
C  0.5000  0.5000  0.0000
I  0.5000  0.5000  0.5000
Br  0.1729  0.1729  0.8504
Br  0.8271  0.8271  0.1496
Cl  0.1642  0.1642  0.2948
Cl  0.8358  0.8358  0.7052

Most intense lines, 10 to 90 degrees two-theta, sorted by position:
2θ (°), Rel. int.
10.26, 49
10.48, 93
28.41, 17
30.95, 100
31.11, 62
34.58, 26
34.84, 15
38.92, 20
39.17, 16
44.32, 24
44.60, 23
46.94, 19

***

[12]
For Sm2Ho2CI2Br2Cl, a cell relaxed with GGA-PBE gives the simulated X-ray diffraction stick pattern in this record (a wavelength of 1.5418 Å).

Structure:
Lattice parameters (Å, degrees): 9.5085 9.5085 8.1062 101.68 101.68 23.37
Sites, in units of the cell vectors:
Sm  0.1359  0.1359  0.0734
Sm  0.8641  0.8641  0.9266
Ho  0.4984  0.4984  0.2030
Ho  0.5016  0.5016  0.7970
C  0.0000  0.0000  0.0000
I  0.3296  0.3296  0.2011
I  0.6704  0.6704  0.7989
Br  0.3471  0.3471  0.6525
Br  0.6529  0.6529  0.3475
Cl  0.0000  0.0000  0.5000

Most intense lines, 10 to 90 degrees two-theta, sorted by position:
2θ (°), Rel. int.
11.16, 59
23.61, 19
29.41, 49
30.84, 17
32.06, 100
33.25, 17
33.87, 31
34.06, 16
37.33, 17
43.88, 29
44.24, 23
47.19, 20

***

[13]
For Y2Ho2CI2BrCl2, a cell relaxed with GGA-PBE gives the simulated X-ray diffraction stick pattern in this record (a wavelength of 1.5418 Å).

Structure:
Lattice parameters (Å, degrees): 9.3045 9.3045 8.0610 100.22 100.22 23.76
Sites, in units of the cell vectors:
Y  0.1344  0.1344  0.0690
Y  0.8656  0.8656  0.9310
Ho  0.4982  0.4982  0.2000
Ho  0.5018  0.5018  0.8000
C  0.0000  0.0000  0.0000
I  0.3259  0.3259  0.2012
I  0.6741  0.6741  0.7988
Br  0.0000  0.0000  0.5000
Cl  0.3515  0.3515  0.6854
Cl  0.6485  0.6485  0.3146

Most intense lines, 10 to 90 degrees two-theta, sorted by position:
2θ (°), Rel. int.
11.16, 52
23.76, 22
26.71, 21
29.94, 53
32.25, 100
33.94, 18
34.28, 29
34.65, 25
43.92, 31
45.23, 25
47.48, 20
57.15, 17

***

[14]
For La2Ho2CBr2Cl3, a cell relaxed with GGA-PBE gives the simulated X-ray diffraction stick pattern in this record (a wavelength of 1.5418 Å).

Structure:
Lattice parameters (Å, degrees): 9.1946 9.1946 8.3503 102.93 102.93 24.36
Sites, in units of the cell vectors:
La  0.0003  0.0003  0.2163
La  0.9997  0.9997  0.7837
Ho  0.3635  0.3635  0.9288
Ho  0.6365  0.6365  0.0712
C  0.5000  0.5000  0.0000
Br  0.1756  0.1756  0.8461
Br  0.8244  0.8244  0.1539
Cl  0.1666  0.1666  0.3046
Cl  0.5000  0.5000  0.5000
Cl  0.8334  0.8334  0.6954

Most intense lines, 10 to 90 degrees two-theta, sorted by position:
2θ (°), Rel. int.
10.11, 15
10.88, 100
30.66, 28
31.48, 80
34.40, 16
34.52, 23
39.93, 25
43.34, 13
44.46, 18
44.57, 17
46.84, 14
63.17, 13